1.
The following is a simulated XRD peak list of BaSrIn6. It was derived from a crystal structure in Alexandria, relaxed with GGA-PBE, using Cu Kα (weighted mean of Kα1 and Kα2).
Lines closer than 0.1° are merged.

Atomic structure:
Unit cell a=5.0795 b=6.8649 c=7.1070 alpha=90.00 beta=90.00 gamma=90.00
Fractional coordinates of all 8 atoms:
Ba 0.0000 0.0000 0.0000
Sr 0.5000 0.5000 0.2057
In 0.0000 0.2628 0.4654
In 0.0000 0.5000 0.8503
In 0.0000 0.7372 0.4654
In 0.5000 0.0000 0.3592
In 0.5000 0.2478 0.7372
In 0.5000 0.7522 0.7372

Principal peaks in the range 2θ from 10° to 90°, most intense first:
2θ (°)	I/Imax
33.95	100
30.71	56
35.34	37
28.89	34
25.13	23
46.27	18
33.43	18
62.55	16
62.85	13
40.27	12
65.66	11
53.38	11


2.
The following is a simulated XRD peak list of LiTl4Cu. It was derived from a crystal structure in Alexandria, relaxed with GGA-PBE, using Cu Kα (weighted mean of Kα1 and Kα2).
Lines closer than 0.1° are merged.

Atomic structure:
Unit cell a=6.3243 b=6.3243 c=6.3243 alpha=60.00 beta=60.00 gamma=60.00
Fractional coordinates of all 6 atoms:
Li 0.0000 0.0000 0.0000
Tl 0.1259 0.6247 0.6247
Tl 0.6247 0.1259 0.6247
Tl 0.6247 0.6247 0.1259
Tl 0.6247 0.6247 0.6247
Cu 0.2500 0.2500 0.2500

Principal peaks in the range 2θ from 10° to 90°, most intense first:
2θ (°)	I/Imax
33.22	100
17.17	97
34.75	92
40.34	38
69.74	38
58.36	37
53.22	35
44.14	27
82.92	23
61.32	21
68.83	12
75.98	12


3.
The following is a simulated XRD peak list of Y3Si2Ni2. It was derived from a crystal structure in Alexandria, relaxed with GGA-PBE, using Cu Kα (weighted mean of Kα1 and Kα2).
Lines closer than 0.1° are merged.

Atomic structure:
Unit cell a=5.5513 b=7.7300 c=12.5067 alpha=90.00 beta=90.00 gamma=90.00
Fractional coordinates of all 28 atoms:
Y 0.1305 0.1080 0.1030
Y 0.1305 0.1080 0.3970
Y 0.1305 0.3920 0.6030
Y 0.1305 0.3920 0.8970
Y 0.3654 0.7490 0.7500
Y 0.3654 0.7510 0.2500
Y 0.6346 0.2490 0.7500
Y 0.6346 0.2510 0.2500
Y 0.8695 0.6080 0.1030
Y 0.8695 0.6080 0.3970
Y 0.8695 0.8920 0.6030
Y 0.8695 0.8920 0.8970
Si 0.1601 0.0979 0.7500
Si 0.1601 0.4021 0.2500
Si 0.3608 0.7500 0.0000
Si 0.3608 0.7500 0.5000
Si 0.6392 0.2500 0.0000
Si 0.6392 0.2500 0.5000
Si 0.8399 0.5979 0.7500
Si 0.8399 0.9021 0.2500
Ni 0.3831 0.0348 0.5881
Ni 0.3831 0.0348 0.9119
Ni 0.3831 0.4652 0.0881
Ni 0.3831 0.4652 0.4119
Ni 0.6169 0.5348 0.5881
Ni 0.6169 0.5348 0.9119
Ni 0.6169 0.9652 0.0881
Ni 0.6169 0.9652 0.4119

Principal peaks in the range 2θ from 10° to 90°, most intense first:
2θ (°)	I/Imax
40.76	100
38.52	61
35.56	53
34.33	50
34.92	50
31.59	41
36.98	39
35.09	33
43.41	33
27.12	26
59.40	25
49.97	24


4.
The following is a simulated XRD peak list of HfTiVGa. It was derived from a crystal structure in Alexandria, relaxed with GGA-PBE, using Cu Kα (weighted mean of Kα1 and Kα2).
Lines closer than 0.1° are merged.

Atomic structure:
Unit cell a=3.9373 b=3.9373 c=8.7244 alpha=90.00 beta=90.00 gamma=90.00
Fractional coordinates of all 8 atoms:
Hf 0.0000 0.0000 0.0000
Hf 0.5000 0.5000 0.5000
Ti 0.0000 0.5000 0.7500
Ti 0.5000 0.0000 0.2500
V 0.0000 0.5000 0.2500
V 0.5000 0.0000 0.7500
Ga 0.0000 0.0000 0.5000
Ga 0.5000 0.5000 0.0000

Principal peaks in the range 2θ from 10° to 90°, most intense first:
2θ (°)	I/Imax
38.35	100
46.11	29
24.81	27
80.17	23
20.36	23
63.68	22
41.40	20
32.15	15
73.47	14
82.14	10
67.26	9
50.89	9